This entry pairs a crystal structure of TbPmEr2S6 with its computed powder XRD pattern. Radiation: Cu Ka. Structure: a crystal structure in Alexandria, relaxed with PBE.

```
10
Lattice="3.472 2.005 6.166 -3.472 2.005 6.166 0.000 -4.010 6.166" Properties=species:S:1:pos:R:3 pbc="T T T"
Tb 0.000 0.000 0.000
Pm 0.000 0.000 9.315
Er 0.000 0.000 5.554
Er 0.000 0.000 14.764
S -1.098 -1.792 7.340
S -2.543 -0.164 10.431
S -1.003 1.847 7.340
S 1.414 -2.121 10.431
S 2.101 -0.055 7.340
S 1.130 2.285 10.431
```

Most intense lines, 2θ = 10–80°, most intense first:
| two_theta | intensity |
| --- | --- |
| 25.65 | 100 |
| 24.28 | 99 |
| 39.07 | 79 |
| 45.23 | 48 |
| 35.61 | 48 |
| 44.41 | 48 |
| 17.59 | 40 |
| 51.70 | 25 |